The following is a theoretical X-ray powder pattern of ScTa4Te. It was derived from a DFT-relaxed cell (PBE, Alexandria), using Cu Ka.
Kinematic intensities with the Lorentz-polarization factor, no thermal factor.

Crystal structure
```
data_ScTa4Te
_cell_length_a 5.6060
_cell_length_b 5.6060
_cell_length_c 5.6060
_cell_angle_alpha 60.00
_cell_angle_beta 60.00
_cell_angle_gamma 60.00
_symmetry_space_group_name_H-M 'P 1'
_symmetry_Int_Tables_number 1
loop_
_symmetry_equiv_pos_as_xyz
'x,y,z'
loop_
_atom_site_label
_atom_site_type_symbol
_atom_site_fract_x
_atom_site_fract_y
_atom_site_fract_z
Sc1 Sc 0.0000 0.0000 0.0000
Ta1 Ta 0.1185 0.6272 0.6272
Ta2 Ta 0.6272 0.1185 0.6272
Ta3 Ta 0.6272 0.6272 0.1185
Ta4 Ta 0.6272 0.6272 0.6272
Te1 Te 0.2500 0.2500 0.2500
```

Top 10 peaks for 10 to 90 degrees two-theta, sorted by position:
19.39°, I = 44
31.93°, I = 10
37.63°, I = 100
39.37°, I = 66
45.78°, I = 19
50.16°, I = 12
60.70°, I = 34
66.74°, I = 32
79.23°, I = 11
80.33°, I = 26